Structure and computed powder diffractogram of AlVO3 (a PBE+U-relaxed structure; Cu Kα (λ = 1.5418 Å)).
Kinematic intensities with the Lorentz-polarization factor, no thermal factor.

Structural model:
Cell: 3.178 3.178 12.058 Å, 90.00 90.00 120.00°
Sites, in units of the cell vectors:
Al1 0.000 0.000 0.000
Al2 0.000 0.000 0.500
V1 0.333 0.667 0.250
V2 0.667 0.333 0.750
O1 0.000 0.000 0.250
O2 0.000 0.000 0.750
O3 0.333 0.667 0.076
O4 0.333 0.667 0.424
O5 0.667 0.333 0.576
O6 0.667 0.333 0.924

The 10 most intense peaks (2θ = 5–70°), by angle:
6.029 Å, 2θ 14.7, I = 16, (0 0 2); 3.014 Å, 2θ 29.6, I = 49, (0 0 4); 2.683 Å, 2θ 33.4, I = 100, (1 0 1); 2.503 Å, 2θ 35.9, I = 17, (1 0 2); 2.010 Å, 2θ 45.1, I = 10, (0 0 6); 1.814 Å, 2θ 50.3, I = 33, (1 0 5); 1.623 Å, 2θ 56.7, I = 16, (1 0 6); 1.589 Å, 2θ 58.1, I = 40, (1 1 0); 1.460 Å, 2θ 63.7, I = 9, (1 0 7); 1.406 Å, 2θ 66.5, I = 24, (1 1 4)